This entry pairs a crystal structure of LiFe3F9 with its computed powder X-ray diffraction pattern. Radiation: λ = 1.5418 Å (Cu Kα). Structure: a DFT-relaxed cell (PBE+U, Alexandria).
Intensities are scaled so that the largest is 100.

Main lines, in order of rising 2θ (15 to 90 degrees two-theta):
hkl 1 0 -1, 2θ 20.10, rel. 46.9
hkl 1 0 1, 2θ 20.53, rel. 74.2
hkl 0 2 0, 2θ 23.85, rel. 100.0
hkl 1 0 -2, 2θ 26.80, rel. 54.2
hkl 1 0 2, 2θ 27.47, rel. 34.4
hkl 2 2 -3, 2θ 53.55, rel. 35.4

Cell and atoms:
```
LiFe3F9
1.0
5.071 0.000 0.000
0.000 7.461 0.000
-0.210 0.000 8.630
Li Fe F
2 6 18
direct
0.040 0.250 0.488
0.960 0.750 0.512
0.000 0.000 0.000
0.000 0.500 0.000
0.484 0.001 0.684
0.484 0.499 0.684
0.516 0.501 0.316
0.516 0.999 0.316
0.124 0.250 0.984
0.179 0.564 0.809
0.179 0.936 0.809
0.255 0.562 0.484
0.255 0.938 0.484
0.306 0.561 0.129
0.306 0.939 0.129
0.322 0.250 0.653
0.360 0.250 0.329
0.640 0.750 0.671
0.678 0.750 0.347
0.694 0.061 0.871
0.694 0.439 0.871
0.745 0.062 0.516
0.745 0.438 0.516
0.821 0.064 0.191
0.821 0.436 0.191
0.876 0.750 0.016
```